For LiAs2W, a crystal structure in Alexandria, relaxed with PBE gives the simulated powder XRD pattern in this record (a wavelength of 1.5418 Å).

Atomic structure:
```
4
Lattice="1.6486 0.9518 7.6151 -1.6486 0.9518 7.6151 0.0000 -1.9037 7.6151" Properties=species:S:1:pos:R:3 pbc="T T T"
Li 0.0000 0.0000 0.0000
As 0.0000 0.0000 13.0605
As 0.0000 0.0000 17.2063
W 0.0000 0.0000 3.6996
```

Top 10 peaks for 2θ from 15° to 90°, most intense first:
37.1 deg, 2.421 Å, rel. 100; 32.3 deg, 2.770 Å, rel. 78; 42.0 deg, 2.149 Å, rel. 53; 51.2 deg, 1.784 Å, rel. 34; 55.8 deg, 1.649 Å, rel. 33; 76.4 deg, 1.246 Å, rel. 22; 57.2 deg, 1.611 Å, rel. 21; 68.9 deg, 1.363 Å, rel. 16; 47.8 deg, 1.904 Å, rel. 15; 65.9 deg, 1.417 Å, rel. 15


For Li4Zn5As6, a crystal structure in Alexandria, relaxed with PBE gives the simulated powder XRD pattern in this record (a wavelength of 1.5418 Å).

Atomic structure:
```
30
Lattice="2.0104 -9.3674 0.0000 2.0104 9.3674 0.0000 0.0000 0.0000 14.9751" Properties=species:S:1:pos:R:3 pbc="T T T"
Li 2.0104 9.2215 7.4875
Li 2.0104 8.8223 4.0407
Li 2.0104 6.1376 11.7572
Li 2.0104 6.0528 6.5528
Li 2.0104 -6.0528 14.0404
Li 2.0104 -6.1376 4.2697
Li 2.0104 -8.8223 11.5282
Li 2.0104 -9.2215 0.0000
Zn 2.0104 6.6078 1.7908
Zn 2.0104 3.8746 1.7648
Zn 2.0104 2.7284 11.3802
Zn 2.0104 2.6776 7.0872
Zn 2.0104 1.1889 2.6032
Zn 2.0104 -1.1889 10.0907
Zn 2.0104 -2.6776 14.5747
Zn 2.0104 -2.7284 3.8927
Zn 2.0104 -3.8746 9.2523
Zn 2.0104 -6.6078 9.2784
As 2.0104 7.0633 9.0544
As 2.0104 5.2027 14.5807
As 2.0104 5.1259 3.9421
As 2.0104 1.2044 13.3929
As 2.0104 1.1814 9.2567
As 2.0104 1.0771 5.1371
As 2.0104 -1.0771 12.6247
As 2.0104 -1.1814 1.7691
As 2.0104 -1.2044 5.9053
As 2.0104 -5.1259 11.4297
As 2.0104 -5.2027 7.0931
As 2.0104 -7.0633 1.5668
```

Top 10 peaks for 2θ from 15° to 90°, most intense first:
47.5 deg, 1.915 Å, rel. 100; 37.4 deg, 2.402 Å, rel. 67; 22.6 deg, 3.931 Å, rel. 60; 50.5 deg, 1.808 Å, rel. 58; 25.6 deg, 3.478 Å, rel. 56; 45.1 deg, 2.010 Å, rel. 54; 26.1 deg, 3.416 Å, rel. 51; 27.0 deg, 3.298 Å, rel. 43; 49.3 deg, 1.848 Å, rel. 26; 35.8 deg, 2.509 Å, rel. 25